Simulated X-ray powder pattern of LiInTeO4 for λ = 1.5418 Å (Cu Kα), from a structure optimized by DFT (GGA-PBE).
Kinematic intensities with the Lorentz-polarization factor, no thermal factor.

Largest 8 diffraction maxima, by angle, 10 to 90 degrees two-theta:
2θ = 21.63°, d 4.109, rel. 71, (1 1 1)
2θ = 22.88°, d 3.886, rel. 41, (0 2 1)
2θ = 28.25°, d 3.159, rel. 58, (2 0 0)
2θ = 31.12°, d 2.874, rel. 79, (1 3 0)
2θ = 32.25°, d 2.776, rel. 100, (1 1 2)
2θ = 44.08°, d 2.054, rel. 29, (2 2 2)
2θ = 52.59°, d 1.740, rel. 27, (3 1 2)
2θ = 55.52°, d 1.655, rel. 41, (2 4 2)

Structure:
```
data_LiInTeO4
_chemical_formula_sum 'Li4 In4 Te4 O16'
_cell_length_a 6.3188
_cell_length_b 9.6801
_cell_length_c 6.5202
_cell_angle_alpha 90.00
_cell_angle_beta 90.00
_cell_angle_gamma 90.00
_space_group_name_H-M_alt 'C m c m'
_space_group_IT_number 63
_space_group_name_Hall '-C 2c 2'
loop_
_atom_site_label
_atom_site_type_symbol
_atom_site_fract_x
_atom_site_fract_y
_atom_site_fract_z
Li1 Li 0.0000 0.1617 0.2500
In1 In 0.0000 0.5000 0.0000
Te1 Te 0.0000 0.1505 0.7500
O1 O 0.0000 0.2686 0.5087
O2 O 0.2355 0.5005 0.2500
```

***

Simulated X-ray powder pattern of LiTl2InO5 for λ = 1.5418 Å (Cu Kα), from a structure optimized by DFT (GGA-PBE).
Kinematic intensities with the Lorentz-polarization factor, no thermal factor.

Largest 8 diffraction maxima, by angle, 10 to 90 degrees two-theta:
2θ = 15.73°, d 5.632, rel. 100, (0 0 2)
2θ = 27.31°, d 3.266, rel. 52, (1 1 0)
2θ = 27.49°, d 3.244, rel. 46, (0 4 1)
2θ = 30.80°, d 2.903, rel. 61, (0 4 2)
2θ = 31.67°, d 2.825, rel. 77, (1 1 2)
2θ = 36.46°, d 2.464, rel. 34, (1 1 3)
2θ = 43.63°, d 2.075, rel. 35, (1 5 1)
2θ = 49.54°, d 1.840, rel. 40, (1 5 3)

Structure:
```
data_LiTl2InO5
_chemical_formula_sum 'Li4 Tl8 In4 O20'
_cell_length_a 3.3651
_cell_length_b 13.5519
_cell_length_c 11.2647
_cell_angle_alpha 90.00
_cell_angle_beta 90.00
_cell_angle_gamma 90.00
_space_group_name_H-M_alt 'C m c 21'
_space_group_IT_number 36
loop_
_space_group_symop_operation_xyz
'x,y,z'
'-x,-y,z+1/2'
'-x,y,z'
'x,-y,z+1/2'
'x+1/2,y+1/2,z'
'-x+1/2,-y+1/2,z+1/2'
'-x+1/2,y+1/2,z'
'x+1/2,-y+1/2,z+1/2'
loop_
_atom_site_label
_atom_site_type_symbol
_atom_site_fract_x
_atom_site_fract_y
_atom_site_fract_z
Li1 Li 0.0000 0.0360 0.0000
Tl1 Tl 0.0000 0.3568 0.7623
Tl2 Tl 0.0000 0.4180 0.2091
In1 In 0.0000 0.2445 0.5292
O1 O 0.0000 0.0032 0.3146
O2 O 0.0000 0.0922 0.5778
O3 O 0.0000 0.2533 0.1808
O4 O 0.0000 0.2604 0.9111
O5 O 0.0000 0.3997 0.5737
```